Entry 1:
This entry pairs a crystal structure of Ca2Co4N with its calculated powder diffraction line list. Radiation: Cu Kα, 1.54184 Å. Structure: a crystal structure in Alexandria, relaxed with PBE.
Intensities are scaled so that the largest is 100.

Peak list (12 most intense, 2θ from 15° to 90°, low angle first)
- 2θ 23.89, intensity 24
- 2θ 33.05, intensity 11
- 2θ 34.08, intensity 16
- 2θ 35.00, intensity 37
- 2θ 36.89, intensity 34
- 2θ 40.37, intensity 100
- 2θ 47.44, intensity 48
- 2θ 57.82, intensity 21
- 2θ 61.56, intensity 14
- 2θ 69.34, intensity 14
- 2θ 77.93, intensity 15
- 2θ 83.41, intensity 21

```
Ca2Co4N
1.0
-1.917 1.917 7.892
1.917 -1.917 7.892
1.917 1.917 -7.892
Ca Co N
2 4 1
Cartesian
0.000 0.000 2.625
0.000 0.000 13.158
1.917 0.000 0.000
0.000 0.000 6.091
0.000 1.917 0.000
0.000 0.000 9.693
0.000 0.000 7.892
```

Entry 2:
This entry pairs a crystal structure of Ca5Co2N4 with its calculated powder diffraction line list. Radiation: Cu Kα, 1.54184 Å. Structure: a crystal structure in Alexandria, relaxed with PBE.
Intensities are scaled so that the largest is 100.

Peak list (12 most intense, 2θ from 15° to 90°, low angle first)
- 2θ 15.50, intensity 24
- 2θ 21.99, intensity 10
- 2θ 25.73, intensity 15
- 2θ 28.80, intensity 15
- 2θ 33.35, intensity 100
- 2θ 35.10, intensity 61
- 2θ 35.91, intensity 16
- 2θ 45.20, intensity 19
- 2θ 47.73, intensity 10
- 2θ 65.55, intensity 10
- 2θ 66.50, intensity 14
- 2θ 67.82, intensity 11

```
Ca5Co2N4
1.0
8.085 0.000 0.000
0.000 8.085 0.000
0.000 0.000 12.042
Ca Co N
20 8 16
Cartesian
0.618 5.113 1.161
0.618 7.014 7.182
1.071 4.660 4.860
1.071 7.467 10.881
2.021 2.021 1.823
2.021 2.021 7.844
2.972 4.660 10.881
2.972 7.467 4.860
3.424 5.113 7.182
3.424 7.014 1.161
4.660 1.071 10.881
4.660 2.972 4.860
5.113 0.618 7.182
5.113 3.424 1.161
6.063 6.063 4.198
6.063 6.063 10.219
7.014 0.618 1.161
7.014 3.424 7.182
7.467 1.071 4.860
7.467 2.972 10.881
0.746 4.788 9.031
0.746 7.339 3.010
3.296 4.788 3.010
3.296 7.339 9.031
4.788 0.746 3.010
4.788 3.296 9.031
7.339 0.746 9.031
7.339 3.296 3.010
0.397 5.176 10.752
0.397 6.951 4.731
1.134 4.439 7.311
1.134 7.688 1.290
2.908 4.439 1.290
2.908 7.688 7.311
3.646 5.176 4.731
3.646 6.951 10.752
4.439 1.134 1.290
4.439 2.908 7.311
5.176 0.397 4.731
5.176 3.646 10.752
6.951 0.397 10.752
6.951 3.646 4.731
7.688 1.134 7.311
7.688 2.908 1.290
```

Entry 3:
This entry pairs a crystal structure of CaNpCoN3 with its calculated powder diffraction line list. Radiation: Cu Kα, 1.54184 Å. Structure: a crystal structure in Alexandria, relaxed with PBE.
Intensities are scaled so that the largest is 100.

Peak list (12 most intense, 2θ from 15° to 90°, low angle first)
- 2θ 16.41, intensity 100
- 2θ 28.79, intensity 27
- 2θ 29.18, intensity 25
- 2θ 30.30, intensity 19
- 2θ 32.39, intensity 24
- 2θ 33.17, intensity 23
- 2θ 35.89, intensity 26
- 2θ 36.74, intensity 16
- 2θ 37.12, intensity 44
- 2θ 37.96, intensity 17
- 2θ 53.54, intensity 14
- 2θ 62.75, intensity 13

```
CaNpCoN3
1.0
6.922 0.000 0.000
0.000 3.421 0.000
-1.043 0.000 7.338
Ca Np Co N
2 2 2 6
Cartesian
0.931 0.855 1.382
4.948 2.566 5.956
1.539 2.566 6.075
4.340 0.855 1.263
-0.125 0.855 4.384
6.003 2.566 2.954
0.081 0.855 6.293
0.644 2.566 3.959
2.830 2.566 0.988
3.049 0.855 6.350
5.235 0.855 3.379
5.798 2.566 1.044
```

Entry 4:
This entry pairs a crystal structure of CaCoPN with its calculated powder diffraction line list. Radiation: Cu Kα, 1.54184 Å. Structure: a crystal structure in Alexandria, relaxed with PBE.
Intensities are scaled so that the largest is 100.

Peak list (12 most intense, 2θ from 15° to 90°, low angle first)
- 2θ 21.38, intensity 49
- 2θ 26.35, intensity 22
- 2θ 30.08, intensity 82
- 2θ 33.87, intensity 18
- 2θ 40.41, intensity 100
- 2θ 43.56, intensity 34
- 2θ 50.74, intensity 32
- 2θ 54.23, intensity 17
- 2θ 55.67, intensity 17
- 2θ 63.27, intensity 17
- 2θ 69.06, intensity 24
- 2θ 71.99, intensity 13

```
CaCoPN
1.0
3.383 0.000 0.000
0.000 4.155 0.000
0.000 0.000 4.249
Ca Co P N
1 1 1 1
Cartesian
0.000 0.000 0.000
0.000 2.078 2.442
1.691 2.078 1.209
1.691 2.078 3.759
```

Entry 5:
This entry pairs a crystal structure of CaTi2CoN4 with its calculated powder diffraction line list. Radiation: Cu Kα, 1.54184 Å. Structure: a crystal structure in Alexandria, relaxed with PBE.
Intensities are scaled so that the largest is 100.

Peak list (12 most intense, 2θ from 15° to 90°, low angle first)
- 2θ 18.78, intensity 38
- 2θ 33.45, intensity 42
- 2θ 34.05, intensity 32
- 2θ 34.73, intensity 60
- 2θ 39.64, intensity 10
- 2θ 39.90, intensity 21
- 2θ 42.61, intensity 100
- 2θ 45.72, intensity 25
- 2θ 48.48, intensity 21
- 2θ 59.15, intensity 23
- 2θ 60.28, intensity 17
- 2θ 69.15, intensity 10

```
CaTi2CoN4
1.0
1.535 -5.266 0.000
1.535 5.266 0.000
0.000 0.000 10.715
Ca Ti Co N
2 4 2 8
Cartesian
1.535 4.120 8.036
1.535 -4.120 2.679
1.535 1.400 5.820
1.535 1.400 10.253
1.535 -1.400 0.462
1.535 -1.400 4.896
1.535 3.604 2.679
1.535 -3.604 8.036
0.000 0.000 0.000
0.000 0.000 5.358
1.535 2.494 1.161
1.535 2.494 4.197
1.535 0.692 8.036
1.535 -0.692 2.679
1.535 -2.494 6.518
1.535 -2.494 9.554
```

Q: What is the formula in the fifth record?
A: CaTi2CoN4